For LiFe2Rh3O8, a cell relaxed with PBE+U gives the simulated powder diffraction line list in this record (copper Kα).

Crystal structure
```
data_LiFe2Rh3O8
_chemical_formula_sum 'Li1 Fe2 Rh3 O8'
_symmetry_space_group_name_H-M 'P 1'
_symmetry_Int_Tables_number 1
_cell_length_a 5.992
_cell_length_b 5.992
_cell_length_c 5.992
_cell_angle_alpha 61.62
_cell_angle_beta 61.62
_cell_angle_gamma 61.62
loop_
_symmetry_equiv_pos_as_xyz
'x,y,z'
loop_
_atom_site_label
_atom_site_type_symbol
_atom_site_fract_x
_atom_site_fract_y
_atom_site_fract_z
Li1 Li 0.000 0.000 0.000
Fe1 Fe 0.375 0.375 0.375
Fe2 Fe 0.757 0.757 0.757
Rh1 Rh 0.376 0.376 0.883
Rh2 Rh 0.376 0.883 0.376
Rh3 Rh 0.883 0.376 0.376
O1 O 0.140 0.140 0.140
O2 O 0.140 0.140 0.594
O3 O 0.140 0.594 0.140
O4 O 0.147 0.620 0.620
O5 O 0.594 0.140 0.140
O6 O 0.620 0.147 0.620
O7 O 0.620 0.620 0.147
O8 O 0.621 0.621 0.621
```

Peak list (12 most intense, 5 to 70 degrees two-theta, in order of falling intensity)
42.16°, intensity 100.0
17.77°, intensity 90.6
34.30°, intensity 86.8
18.36°, intensity 80.5
34.62°, intensity 78.2
35.99°, intensity 53.9
60.31°, intensity 51.7
61.98°, intensity 47.0
35.26°, intensity 40.6
55.66°, intensity 26.3
56.32°, intensity 23.0
20.72°, intensity 22.2